# MgMnSiO5
Simulated powder diffraction line list, λ = 1.5418 Å (Cu Kα). Input: DFT lattice parameters and positions (GGA+U).

Structural model:
a b c (Å): 5.142 5.374 6.903
angles (deg): 105.61 101.69 108.08
Space group P-1 (No. 2)
Symmetry-distinct sites (fractional):
1 Mg 0.152 0.291 0.220 [2 per cell]
2 Mn 0.500 0.000 0.000 [1 per cell]
3 Mn 0.500 0.000 0.500 [1 per cell]
4 Si 0.189 0.319 0.741 [2 per cell]
5 O 0.102 0.792 0.460 [2 per cell]
6 O 0.195 0.132 0.900 [2 per cell]
7 O 0.201 0.626 0.882 [2 per cell]
8 O 0.393 0.066 0.248 [2 per cell]
9 O 0.472 0.350 0.657 [2 per cell]

The 10 most intense peaks (2θ = 10–90°), by intensity:
2θ (°), d (Å), I_rel, hkl
27.77, 3.213, 100, 0 1 -2
31.66, 2.826, 73, 1 1 0
35.93, 2.500, 71, -1 1 2
18.59, 4.773, 58, 0 1 0
35.00, 2.564, 42, 1 -2 0
28.80, 3.100, 41, 1 0 -2
62.28, 1.491, 40, 1 -2 4
34.86, 2.574, 37, 1 -1 2
19.11, 4.644, 32, 1 0 0
55.99, 1.642, 28, 0 2 2